NdIn6Pt3: calculated X-ray diffraction stick pattern (a wavelength of 1.5418 Å), based on the PBE geometry in Alexandria.

Cell: 9.858 4.514 10.229 Å, 90.00 94.83 90.00°
Fractional coordinates of all 20 atoms:
Nd1 0.096 0.250 0.258
Nd2 0.904 0.750 0.742
In1 0.083 0.250 0.921
In2 0.125 0.750 0.497
In3 0.271 0.750 0.785
In4 0.337 0.750 0.292
In5 0.371 0.250 0.560
In6 0.394 0.250 0.063
In7 0.606 0.750 0.937
In8 0.629 0.750 0.440
In9 0.663 0.250 0.708
In10 0.729 0.250 0.215
In11 0.875 0.250 0.503
In12 0.917 0.750 0.079
Pt1 0.122 0.250 0.658
Pt2 0.200 0.750 0.042
Pt3 0.489 0.250 0.327
Pt4 0.511 0.750 0.673
Pt5 0.800 0.250 0.958
Pt6 0.878 0.750 0.342

Principal peaks in the range 2θ = 10–80°, low angle first:
2θ (°)  I_rel  hkl
19.39  20  2 0 -1
23.67  28  1 1 1
26.23  21  0 0 3
31.28  27  2 1 -2
33.00  100  2 1 2
33.82  61  3 1 0
36.47  23  3 0 -3
38.40  21  2 0 -4
39.95  67  0 2 0
42.41  39  1 1 4
43.51  37  4 1 1
44.38  27  4 1 -2